Simulated PXRD pattern of La3Sm2Au2 for copper Kα, from DFT lattice parameters and positions (GGA-PBE).

Atomic structure:
```
La3Sm2Au2
1.0
3.9235 0.0000 0.0000
1.9579 6.4332 0.0000
1.9601 2.5712 8.6713
La Sm Au
3 2 2
Direct
0.0000 0.0000 0.0000
0.1078 0.2243 0.5571
0.8922 0.7757 0.4429
0.3412 0.5028 0.8156
0.6588 0.4972 0.1844
0.3323 0.1112 0.2255
0.6677 0.8888 0.7745
```

Main lines, sorted by position (2θ = 10–80°):
2θ 29.5, intensity 80
2θ 30.2, intensity 65
2θ 30.9, intensity 98
2θ 32.3, intensity 100
2θ 33.0, intensity 85
2θ 33.5, intensity 68
2θ 33.7, intensity 71
2θ 36.8, intensity 75
2θ 46.3, intensity 63
2θ 53.7, intensity 37

Simulated PXRD pattern of Cu3SbS3 for copper Kα, from DFT lattice parameters and positions (GGA-PBE).

Atomic structure:
```
Cu3SbS3
1.0
-5.0589 5.0589 5.0589
5.0589 -5.0589 5.0589
5.0589 5.0589 -5.0589
Cu Sb S
12 4 12
Direct
0.0000 0.1817 0.1817
0.0000 0.8183 0.8183
0.1817 0.0000 0.1817
0.1817 0.1817 0.0000
0.2500 0.5000 0.7500
0.2500 0.7500 0.5000
0.5000 0.2500 0.7500
0.5000 0.7500 0.2500
0.7500 0.2500 0.5000
0.7500 0.5000 0.2500
0.8183 0.0000 0.8183
0.8183 0.8183 0.0000
0.0000 0.0000 0.4557
0.0000 0.4557 0.0000
0.4557 0.0000 0.0000
0.5443 0.5443 0.5443
0.0000 0.5324 0.7538
0.0000 0.7538 0.5324
0.2214 0.4676 0.4676
0.2462 0.2462 0.7786
0.2462 0.7786 0.2462
0.4676 0.2214 0.4676
0.4676 0.4676 0.2214
0.5324 0.0000 0.7538
0.5324 0.7538 0.0000
0.7538 0.0000 0.5324
0.7538 0.5324 0.0000
0.7786 0.2462 0.2462
```

Main lines, sorted by position (2θ = 10–80°):
2θ 24.9, intensity 12
2θ 30.6, intensity 100
2θ 33.1, intensity 11
2θ 35.5, intensity 18
2θ 37.7, intensity 17
2θ 41.9, intensity 10
2θ 45.7, intensity 22
2θ 51.1, intensity 34
2θ 56.0, intensity 16
2θ 60.7, intensity 19